# Tb2NdEr2
Calculated powder X-ray diffraction pattern, Cu Kα. Input: DFT lattice parameters and positions (GGA-PBE).
Peak positions follow from Bragg's law for the DFT cell and can differ from measured ones.

Main lines, in order of rising 2θ (2θ from 15° to 90°):
2θ (°), I_rel
30.2, 57.2
30.7, 26.9
32.2, 100.0
46.9, 11.9
55.9, 14.9
58.6, 34.3

Atomic structure:
a = 9.3543 Å, b = 9.3543 Å, c = 3.7274 Å
α = 90.00°, β = 90.00°, γ = 90.00°
Fractional coordinates of all 10 atoms:
Tb1 0.1258 0.3742 0.0000
Tb2 0.3742 0.8742 0.0000
Tb3 0.6258 0.1258 0.0000
Tb4 0.8742 0.6258 0.0000
Nd1 0.0000 0.0000 0.0000
Nd2 0.5000 0.5000 0.0000
Er1 0.1711 0.6711 0.5000
Er2 0.3289 0.1711 0.5000
Er3 0.6711 0.8289 0.5000
Er4 0.8289 0.3289 0.5000

=====

# Tb3NdEr2
Calculated powder X-ray diffraction pattern, Cu Kα. Input: DFT lattice parameters and positions (GGA-PBE).
Peak positions follow from Bragg's law for the DFT cell and can differ from measured ones.

Main lines, in order of rising 2θ (2θ from 15° to 90°):
2θ (°), I_rel
28.9, 36.3
31.2, 51.2
32.0, 100.0
33.7, 91.2
50.9, 26.3
60.9, 38.3

Atomic structure:
a = 7.1711 Å, b = 7.1783 Å, c = 8.8462 Å
α = 78.25°, β = 78.27°, γ = 60.09°
Fractional coordinates of all 12 atoms:
Tb1 0.1393 0.1395 0.1638
Tb2 0.2493 0.2505 0.5010
Tb3 0.3610 0.8607 0.8352
Tb4 0.6390 0.1393 0.1648
Tb5 0.7507 0.7495 0.4990
Tb6 0.8607 0.8605 0.8362
Nd1 0.2505 0.7492 0.4985
Nd2 0.7495 0.2508 0.5015
Er1 0.1395 0.6377 0.1648
Er2 0.3599 0.3617 0.8360
Er3 0.6401 0.6383 0.1640
Er4 0.8605 0.3623 0.8352

=====

# Tb7Nd2Er3
Calculated powder X-ray diffraction pattern, Cu Kα. Input: DFT lattice parameters and positions (GGA-PBE).
Peak positions follow from Bragg's law for the DFT cell and can differ from measured ones.

Main lines, in order of rising 2θ (2θ from 15° to 90°):
2θ (°), I_rel
28.6, 30.4
31.0, 61.3
31.2, 100.0
31.4, 31.2
31.7, 34.3
33.5, 35.0

Atomic structure:
a = 5.7873 Å, b = 3.5919 Å, c = 18.7603 Å
α = 90.00°, β = 93.72°, γ = 90.00°
Fractional coordinates of all 12 atoms:
Tb1 0.0000 0.0000 0.0000
Tb2 0.1798 0.5000 0.1759
Tb3 0.2584 0.5000 0.5373
Tb4 0.3226 0.0000 0.8582
Tb5 0.6774 0.0000 0.1418
Tb6 0.7416 0.5000 0.4627
Tb7 0.8202 0.5000 0.8241
Nd1 0.2955 0.5000 0.7052
Nd2 0.7045 0.5000 0.2948
Er1 0.2193 0.0000 0.3700
Er2 0.5000 0.5000 0.0000
Er3 0.7807 0.0000 0.6300

=====

# TbNd6Er4
Calculated powder X-ray diffraction pattern, Cu Kα. Input: DFT lattice parameters and positions (GGA-PBE).
Peak positions follow from Bragg's law for the DFT cell and can differ from measured ones.

Main lines, in order of rising 2θ (2θ from 15° to 90°):
2θ (°), I_rel
28.4, 48.9
28.5, 56.4
29.8, 34.0
30.1, 100.0
34.2, 69.2
37.4, 31.2

Atomic structure:
a = 9.6252 Å, b = 9.6252 Å, c = 9.6252 Å
α = 138.96°, β = 138.96°, γ = 59.44°
Fractional coordinates of all 11 atoms:
Tb1 0.0000 0.0000 0.0000
Nd1 0.0000 0.5000 0.5000
Nd2 0.0135 0.6318 0.0000
Nd3 0.3682 0.3682 0.3817
Nd4 0.5000 0.0000 0.5000
Nd5 0.6318 0.0135 0.0000
Nd6 0.9865 0.9865 0.6183
Er1 0.2038 0.2038 0.6461
Er2 0.4423 0.7962 0.0000
Er3 0.5577 0.5577 0.3539
Er4 0.7962 0.4423 0.0000

=====

# Tb3NdEr3Te8
Calculated powder X-ray diffraction pattern, Cu Kα. Input: DFT lattice parameters and positions (GGA-PBE).
Peak positions follow from Bragg's law for the DFT cell and can differ from measured ones.

Main lines, in order of rising 2θ (2θ from 15° to 90°):
2θ (°), I_rel
29.1, 100.0
41.6, 75.0
51.6, 26.5
60.4, 12.3
68.4, 33.3
76.0, 18.2

Atomic structure:
a = 8.6701 Å, b = 8.6701 Å, c = 8.6701 Å
α = 60.06°, β = 60.06°, γ = 60.06°
Fractional coordinates of all 15 atoms:
Tb1 0.0000 0.5000 0.5000
Tb2 0.5000 0.0000 0.5000
Tb3 0.5000 0.5000 0.0000
Nd1 0.5000 0.5000 0.5000
Er1 0.0000 0.0000 0.5000
Er2 0.0000 0.5000 0.0000
Er3 0.5000 0.0000 0.0000
Te1 0.2354 0.7616 0.7616
Te2 0.2384 0.2384 0.7646
Te3 0.2384 0.7646 0.2384
Te4 0.2485 0.2485 0.2485
Te5 0.7515 0.7515 0.7515
Te6 0.7616 0.2354 0.7616
Te7 0.7616 0.7616 0.2354
Te8 0.7646 0.2384 0.2384

=====

# Tb2Nd6ErTh
Calculated powder X-ray diffraction pattern, Cu Kα. Input: DFT lattice parameters and positions (GGA-PBE).
Peak positions follow from Bragg's law for the DFT cell and can differ from measured ones.

Main lines, in order of rising 2θ (2θ from 15° to 90°):
2θ (°), I_rel
28.3, 54.5
29.7, 56.0
30.0, 58.5
31.0, 76.1
31.2, 100.0
33.2, 35.7

Atomic structure:
a = 8.8663 Å, b = 8.8663 Å, c = 9.8171 Å
α = 94.43°, β = 94.43°, γ = 116.46°
Fractional coordinates of all 20 atoms:
Tb1 0.1990 0.2896 0.0494
Tb2 0.2896 0.1990 0.5494
Tb3 0.7104 0.8010 0.4506
Tb4 0.8010 0.7104 0.9506
Nd1 0.0097 0.5747 0.1882
Nd2 0.1105 0.7556 0.5564
Nd3 0.2444 0.8895 0.9436
Nd4 0.2985 0.5103 0.3808
Nd5 0.4253 0.9903 0.3118
Nd6 0.4897 0.7015 0.1192
Nd7 0.5103 0.2985 0.8808
Nd8 0.5747 0.0097 0.6882
Nd9 0.7015 0.4897 0.6192
Nd10 0.7556 0.1105 0.0564
Nd11 0.8895 0.2444 0.4436
Nd12 0.9903 0.4253 0.8118
Er1 0.4080 0.5920 0.7500
Er2 0.5920 0.4080 0.2500
Th1 0.0259 0.9741 0.2500
Th2 0.9741 0.0259 0.7500

=====

# Tb2NdEr2Th2
Calculated powder X-ray diffraction pattern, Cu Kα. Input: DFT lattice parameters and positions (GGA-PBE).
Peak positions follow from Bragg's law for the DFT cell and can differ from measured ones.

Main lines, in order of rising 2θ (2θ from 15° to 90°):
2θ (°), I_rel
27.8, 47.4
30.1, 100.0
31.4, 80.2
31.8, 81.0
34.7, 54.9
35.5, 58.9

Atomic structure:
a = 11.4105 Å, b = 3.4331 Å, c = 11.9245 Å
α = 90.00°, β = 100.41°, γ = 90.00°
Fractional coordinates of all 14 atoms:
Tb1 0.1513 0.0000 0.0746
Tb2 0.3487 0.5000 0.9254
Tb3 0.6513 0.5000 0.0746
Tb4 0.8487 0.0000 0.9254
Nd1 0.0000 0.5000 0.5000
Nd2 0.5000 0.0000 0.5000
Er1 0.0933 0.0000 0.7768
Er2 0.4067 0.5000 0.2232
Er3 0.5933 0.5000 0.7768
Er4 0.9067 0.0000 0.2232
Th1 0.2077 0.0000 0.3621
Th2 0.2923 0.5000 0.6379
Th3 0.7077 0.5000 0.3621
Th4 0.7923 0.0000 0.6379

=====

# TbNdEr2Tl2
Calculated powder X-ray diffraction pattern, Cu Kα. Input: DFT lattice parameters and positions (GGA-PBE).
Peak positions follow from Bragg's law for the DFT cell and can differ from measured ones.

Main lines, in order of rising 2θ (2θ from 15° to 90°):
2θ (°), I_rel
31.6, 54.9
31.9, 100.0
32.8, 78.5
34.6, 31.5
35.0, 57.5
37.7, 24.1

Atomic structure:
a = 5.1302 Å, b = 10.0575 Å, c = 6.8050 Å
α = 90.00°, β = 90.00°, γ = 90.00°
Fractional coordinates of all 12 atoms:
Tb1 0.0000 0.1915 0.0000
Tb2 0.0000 0.8085 0.5000
Nd1 0.5000 0.0412 0.2757
Nd2 0.5000 0.9588 0.7757
Er1 0.0000 0.4579 0.3678
Er2 0.0000 0.5421 0.8678
Er3 0.5000 0.3184 0.6519
Er4 0.5000 0.6816 0.1519
Tl1 0.0000 0.1419 0.5359
Tl2 0.0000 0.8581 0.0359
Tl3 0.5000 0.3696 0.1146
Tl4 0.5000 0.6304 0.6146

=====

# TbNd2ErTl2
Calculated powder X-ray diffraction pattern, Cu Kα. Input: DFT lattice parameters and positions (GGA-PBE).
Peak positions follow from Bragg's law for the DFT cell and can differ from measured ones.

Main lines, in order of rising 2θ (2θ from 15° to 90°):
2θ (°), I_rel
31.2, 57.7
31.5, 100.0
32.5, 80.6
34.2, 33.9
34.8, 58.2
37.2, 25.0

Atomic structure:
a = 5.1501 Å, b = 10.1968 Å, c = 6.8928 Å
α = 90.00°, β = 90.00°, γ = 90.00°
Fractional coordinates of all 12 atoms:
Tb1 0.0000 0.0419 0.0000
Tb2 0.0000 0.9581 0.5000
Nd1 0.0000 0.3133 0.3681
Nd2 0.0000 0.6867 0.8681
Nd3 0.5000 0.4561 0.0967
Nd4 0.5000 0.5439 0.5967
Er1 0.5000 0.1847 0.7175
Er2 0.5000 0.8153 0.2175
Tl1 0.0000 0.3544 0.8375
Tl2 0.0000 0.6456 0.3375
Tl3 0.5000 0.1240 0.2577
Tl4 0.5000 0.8760 0.7577

=====

# TbNd2ErTm2
Calculated powder X-ray diffraction pattern, Cu Kα. Input: DFT lattice parameters and positions (GGA-PBE).
Peak positions follow from Bragg's law for the DFT cell and can differ from measured ones.

Main lines, in order of rising 2θ (2θ from 15° to 90°):
2θ (°), I_rel
31.5, 90.8
31.8, 100.0
45.3, 33.1
56.4, 34.5
56.6, 19.2
62.5, 28.9

Atomic structure:
a = 6.9936 Å, b = 5.6366 Å, c = 9.7485 Å
α = 90.00°, β = 90.00°, γ = 90.00°
Fractional coordinates of all 12 atoms:
Tb1 0.2500 0.0000 0.1583
Tb2 0.7500 0.0000 0.8417
Nd1 0.0000 0.0000 0.5000
Nd2 0.2500 0.5000 0.6783
Nd3 0.5000 0.0000 0.5000
Nd4 0.7500 0.5000 0.3217
Er1 0.0000 0.5000 0.0000
Er2 0.5000 0.5000 0.0000
Tm1 0.2500 0.0000 0.8321
Tm2 0.2500 0.5000 0.3363
Tm3 0.7500 0.0000 0.1679
Tm4 0.7500 0.5000 0.6637

=====

# TbNd2Er2Tm2
Calculated powder X-ray diffraction pattern, Cu Kα. Input: DFT lattice parameters and positions (GGA-PBE).
Peak positions follow from Bragg's law for the DFT cell and can differ from measured ones.

Main lines, in order of rising 2θ (2θ from 15° to 90°):
2θ (°), I_rel
30.8, 71.0
30.9, 83.9
32.6, 100.0
33.2, 55.3
35.4, 76.6
61.9, 65.1

Atomic structure:
a = 11.6669 Å, b = 3.5010 Å, c = 11.7708 Å
α = 90.00°, β = 109.09°, γ = 90.00°
Fractional coordinates of all 14 atoms:
Tb1 0.0000 0.0000 0.0000
Tb2 0.5000 0.5000 0.0000
Nd1 0.1714 0.5000 0.5848
Nd2 0.3286 0.0000 0.4152
Nd3 0.6714 0.0000 0.5848
Nd4 0.8286 0.5000 0.4152
Er1 0.0495 0.5000 0.2689
Er2 0.4505 0.0000 0.7311
Er3 0.5495 0.0000 0.2689
Er4 0.9505 0.5000 0.7311
Tm1 0.2263 0.0000 0.8648
Tm2 0.2737 0.5000 0.1352
Tm3 0.7263 0.5000 0.8648
Tm4 0.7737 0.0000 0.1352

=====

# TbNd2Er2Tm
Calculated powder X-ray diffraction pattern, Cu Kα. Input: DFT lattice parameters and positions (GGA-PBE).
Peak positions follow from Bragg's law for the DFT cell and can differ from measured ones.

Main lines, in order of rising 2θ (2θ from 15° to 90°):
2θ (°), I_rel
31.5, 91.3
31.8, 100.0
45.3, 33.3
56.4, 34.7
56.6, 19.2
62.5, 28.9

Atomic structure:
a = 6.9942 Å, b = 5.6377 Å, c = 9.7595 Å
α = 90.00°, β = 90.00°, γ = 90.00°
Fractional coordinates of all 12 atoms:
Tb1 0.2500 0.0000 0.1574
Tb2 0.7500 0.0000 0.8426
Nd1 0.0000 0.0000 0.5000
Nd2 0.2500 0.5000 0.6795
Nd3 0.5000 0.0000 0.5000
Nd4 0.7500 0.5000 0.3205
Er1 0.2500 0.0000 0.8316
Er2 0.2500 0.5000 0.3367
Er3 0.7500 0.0000 0.1684
Er4 0.7500 0.5000 0.6633
Tm1 0.0000 0.5000 0.0000
Tm2 0.5000 0.5000 0.0000

=====

# Tb3NdErTm
Calculated powder X-ray diffraction pattern, Cu Kα. Input: DFT lattice parameters and positions (GGA-PBE).
Peak positions follow from Bragg's law for the DFT cell and can differ from measured ones.

Main lines, in order of rising 2θ (2θ from 15° to 90°):
2θ (°), I_rel
31.0, 25.3
31.3, 31.4
31.9, 100.0
44.6, 18.7
55.7, 12.5
56.1, 20.3

Atomic structure:
a = 6.4878 Å, b = 6.4878 Å, c = 11.5419 Å
α = 90.00°, β = 90.00°, γ = 127.72°
Fractional coordinates of all 12 atoms:
Tb1 0.1337 0.8663 0.7500
Tb2 0.3253 0.6747 0.5338
Tb3 0.3253 0.6747 0.9662
Tb4 0.6747 0.3253 0.0338
Tb5 0.6747 0.3253 0.4662
Tb6 0.8663 0.1337 0.2500
Nd1 0.4726 0.5274 0.2500
Nd2 0.5274 0.4726 0.7500
Er1 0.0000 0.0000 0.0000
Er2 0.0000 0.0000 0.5000
Tm1 0.1733 0.8267 0.2500
Tm2 0.8267 0.1733 0.7500